This entry pairs a crystal structure of BW5N9 with its calculated powder XRD pattern. Radiation: Cu Kα X-rays. Structure: a DFT-relaxed cell (GGA-PBE, OQMD).
Lines closer than 0.1° are merged.

Structural model:
Lattice parameters (Å, degrees): 5.944 16.075 8.475 90.00 90.00 90.00
Space group Cmc2_1 (No. 36)
Inequivalent atoms, fractional coordinates:
B (0.000, 0.013, 0.000)
W (0.000, 0.251, 0.577)
W (0.000, 0.309, 0.886)
W (0.000, 0.451, 0.528)
W (0.234, 0.122, 0.728)
N (0.000, 0.044, 0.632)
N (0.000, 0.197, 0.827)
N (0.000, 0.326, 0.360)
N (0.000, 0.364, 0.685)
N (0.000, 0.456, 0.146)
N (0.211, 0.043, 0.928)
N (0.244, 0.179, 0.509)

Largest 10 diffraction maxima, in order of rising 2θ, 5° ≤ 2θ ≤ 70°:
two_theta	intensity
15.2	1000
15.9	461
19.1	992
24.5	471
30.7	627
33.4	474
33.6	493
33.9	704
36.9	471
37.6	490



This entry pairs a crystal structure of BW5N6 with its calculated powder XRD pattern. Radiation: Cu Kα X-rays. Structure: a DFT-relaxed cell (GGA-PBE, OQMD).
Lines closer than 0.1° are merged.

Structural model:
Lattice parameters (Å, degrees): 5.118 10.324 5.268 90.00 105.81 90.00
Space group P2_1/m (No. 11)
Inequivalent atoms, fractional coordinates:
B (0.094, 0.250, 0.446)
W (0.085, 0.250, 0.938)
W (0.279, 0.509, 0.175)
W (0.333, 0.750, 0.791)
W (0.467, 0.750, 0.317)
N (0.033, 0.135, 0.256)
N (0.406, 0.121, 0.933)
N (0.435, 0.603, 0.557)

Largest 10 diffraction maxima, in order of rising 2θ, 5° ≤ 2θ ≤ 70°:
two_theta	intensity
17.5	459
21.5	338
33.5	1000
34.8	679
36.2	460
37.6	265
40.6	325
44.2	278
48.0	442
57.4	262



This entry pairs a crystal structure of B3W10N16 with its calculated powder XRD pattern. Radiation: Cu Kα X-rays. Structure: a DFT-relaxed cell (GGA-PBE, OQMD).
Lines closer than 0.1° are merged.

Structural model:
Lattice parameters (Å, degrees): 5.8663 5.8663 28.3202 90.00 90.00 120.00
Space group R-3m (No. 166, hexagonal axes)
Inequivalent atoms, fractional coordinates:
B (0.0000, 0.0000, 0.0000)
B (0.0000, 0.0000, 0.1917)
W (0.0000, 0.0000, 0.5000)
W (0.0000, 0.5000, 0.0000)
W (0.0216, 0.5108, 0.7576)
N (0.0000, 0.0000, 0.1380)
N (0.0000, 0.0000, 0.3789)
N (0.0383, 0.5192, 0.8764)
N (0.0484, 0.5242, 0.6301)

Largest 10 diffraction maxima, in order of rising 2θ, 5° ≤ 2θ ≤ 70°:
two_theta	intensity
18.6	284
21.5	211
23.5	296
28.4	187
37.6	1000
38.1	270
42.1	163
43.9	926
63.4	320
64.1	230



This entry pairs a crystal structure of B2W5N6 with its calculated powder XRD pattern. Radiation: Cu Kα X-rays. Structure: a DFT-relaxed cell (GGA-PBE, OQMD).
Lines closer than 0.1° are merged.

Structural model:
Lattice parameters (Å, degrees): 3.1682 3.1682 15.3629 90.00 90.00 120.00
Space group P-3m1 (No. 164)
Inequivalent atoms, fractional coordinates:
B (0.3333, 0.6667, 0.0252)
W (0.0000, 0.0000, 0.5000)
W (0.3333, 0.6667, 0.3301)
W (0.3333, 0.6667, 0.8071)
N (0.0000, 0.0000, 0.2769)
N (0.3333, 0.6667, 0.1225)
N (0.3333, 0.6667, 0.5777)

Largest 10 diffraction maxima, in order of rising 2θ, 5° ≤ 2θ ≤ 70°:
two_theta	intensity
5.8	1000
11.5	384
34.7	721
35.0	183
40.4	690
44.3	136
58.2	251
58.7	126
69.6	104
69.8	156



This entry pairs a crystal structure of B2W3N6 with its calculated powder XRD pattern. Radiation: Cu Kα X-rays. Structure: a DFT-relaxed cell (GGA-PBE, OQMD).
Lines closer than 0.1° are merged.

Structural model:
Lattice parameters (Å, degrees): 4.8097 4.8097 10.5759 90.00 90.00 120.00
Space group P-31c (No. 163)
Inequivalent atoms, fractional coordinates:
B (0.0000, 0.0000, 0.1280)
W (0.3333, 0.6667, 0.0126)
W (0.3333, 0.6667, 0.7500)
N (0.0195, 0.3115, 0.8730)

Largest 10 diffraction maxima, in order of rising 2θ, 5° ≤ 2θ ≤ 70°:
two_theta	intensity
16.8	266
21.3	883
22.9	471
33.3	522
33.9	290
37.4	1000
40.4	489
41.2	198
51.4	887
67.5	244



This entry pairs a crystal structure of BW4N7 with its calculated powder XRD pattern. Radiation: Cu Kα X-rays. Structure: a DFT-relaxed cell (GGA-PBE, OQMD).
Lines closer than 0.1° are merged.

Structural model:
Lattice parameters (Å, degrees): 7.5227 7.5227 4.9988 90.00 90.00 120.00
Space group P6_3 (No. 173)
Inequivalent atoms, fractional coordinates:
B (0.3333, 0.6667, 0.0000)
W (0.0000, 0.0000, 0.0818)
W (0.1351, 0.4304, 0.5642)
N (0.0480, 0.8034, 0.3407)
N (0.1218, 0.6258, 0.8655)
N (0.3333, 0.6667, 0.3018)

Largest 10 diffraction maxima, in order of rising 2θ, 5° ≤ 2θ ≤ 70°:
two_theta	intensity
13.6	143
22.4	725
29.7	517
32.8	313
35.9	316
36.5	1000
40.9	272
52.1	913
54.0	145
65.7	260



This entry pairs a crystal structure of B2W3N8 with its calculated powder XRD pattern. Radiation: Cu Kα X-rays. Structure: a DFT-relaxed cell (GGA-PBE, OQMD).
Lines closer than 0.1° are merged.

Structural model:
Lattice parameters (Å, degrees): 5.774 10.895 7.932 90.00 90.00 90.00
Space group Cmce (No. 64)
Inequivalent atoms, fractional coordinates:
B (0.000, 0.113, 0.110)
W (0.000, 0.000, 0.500)
W (0.250, 0.148, 0.750)
N (0.000, 0.002, 0.758)
N (0.000, 0.231, 0.217)
N (0.224, 0.116, 0.000)

Largest 10 diffraction maxima, in order of rising 2θ, 5° ≤ 2θ ≤ 70°:
two_theta	intensity
19.8	1000
20.7	425
27.8	333
31.2	228
37.0	509
37.8	232
38.6	344
40.2	232
45.8	542
66.7	224



This entry pairs a crystal structure of ZnB2N with its calculated powder XRD pattern. Radiation: Cu Kα X-rays. Structure: a DFT-relaxed cell (GGA-PBE, OQMD).
Lines closer than 0.1° are merged.

Structural model:
Lattice parameters (Å, degrees): 2.804 2.804 4.463 90.00 90.00 90.00
Space group P4/mmm (No. 123)
Inequivalent atoms, fractional coordinates:
Zn (0.000, 0.000, 0.000)
B (0.000, 0.000, 0.500)
B (0.500, 0.500, 0.000)
N (0.500, 0.500, 0.500)

Largest 10 diffraction maxima, in order of rising 2θ, 5° ≤ 2θ ≤ 70°:
two_theta	intensity
19.9	852
31.9	554
37.9	1000
40.4	430
45.8	578
50.4	321
52.4	286
62.4	42
62.7	404
66.7	165



This entry pairs a crystal structure of Na2ZnB6O11 with its calculated powder XRD pattern. Radiation: Cu Kα X-rays. Structure: a DFT-relaxed cell (GGA-PBE, OQMD).
Lines closer than 0.1° are merged.

Structural model:
Lattice parameters (Å, degrees): 10.601 7.346 11.421 90.00 112.22 90.00
Space group Cc (No. 9)
Inequivalent atoms, fractional coordinates:
Na (0.000, 0.084, 0.000)
Na (0.212, 0.414, 0.932)
Zn (0.356, 0.142, 0.716)
B (0.092, 0.476, 0.116)
B (0.120, 0.023, 0.816)
B (0.237, 0.205, 0.229)
B (0.263, 0.207, 0.454)
B (0.448, 0.207, 0.978)
B (0.475, 0.205, 0.203)
O (0.031, 0.448, 0.495)
O (0.043, 0.173, 0.811)
O (0.068, 0.453, 0.716)
O (0.144, 0.047, 0.216)
O (0.170, 0.328, 0.122)
O (0.180, 0.053, 0.437)
O (0.274, 0.295, 0.352)
O (0.333, 0.278, 0.569)
O (0.356, 0.122, 0.216)
O (0.378, 0.277, 0.863)
O (0.439, 0.295, 0.081)

Largest 10 diffraction maxima, in order of rising 2θ, 5° ≤ 2θ ≤ 70°:
two_theta	intensity
15.1	388
19.9	243
25.1	605
28.1	1000
29.6	530
30.4	494
31.8	302
33.9	547
46.3	285
46.9	274



This entry pairs a crystal structure of NaPrB4 with its calculated powder XRD pattern. Radiation: Cu Kα X-rays. Structure: a DFT-relaxed cell (GGA-PBE, OQMD).
Lines closer than 0.1° are merged.

Structural model:
Lattice parameters (Å, degrees): 3.166 5.646 8.483 90.00 90.00 90.00
Space group Immm (No. 71)
Inequivalent atoms, fractional coordinates:
Na (0.000, 0.000, 0.000)
Pr (0.000, 0.000, 0.500)
B (0.000, 0.316, 0.245)

Largest 10 diffraction maxima, in order of rising 2θ, 5° ≤ 2θ ≤ 70°:
two_theta	intensity
18.9	1000
20.9	459
30.1	310
31.7	208
32.4	444
35.5	200
38.3	423
38.9	736
44.3	224
54.6	207